(1)
The following is a calculated powder diffraction line list of Mg6Si5. It was derived from a crystal structure in the Materials Project, relaxed with GGA-PBE, using Cu Kα, 1.54184 Å.

Top 6 peaks for 2θ = 10–80°, sorted by position:
d = 2.694 Å, 2θ = 33.25°, intensity 38.3, (2 1 -1)
d = 2.581 Å, 2θ = 34.76°, intensity 100.0, (1 1 -4)
d = 2.441 Å, 2θ = 36.82°, intensity 98.8, (2 1 2)
d = 2.430 Å, 2θ = 37.00°, intensity 47.1, (2 1 -3)
d = 2.317 Å, 2θ = 38.87°, intensity 66.1, (3 0 -2)
d = 2.090 Å, 2θ = 43.29°, intensity 79.3, (0 2 0)

Cell and atoms:
a b c (Å): 7.1126 4.1800 14.0230
angles (deg): 90.00 96.87 90.00
Space group Pm (No. 6)
Inequivalent atoms, fractional coordinates:
Mg 0.0000 0.0000 0.0000 (multiplicity 1)
Mg 0.0008 0.5000 0.1981 (multiplicity 1)
Mg 0.0991 0.5000 0.6635 (multiplicity 1)
Mg 0.1876 0.0000 0.3561 (multiplicity 1)
Mg 0.3265 0.5000 0.0516 (multiplicity 1)
Mg 0.3562 0.0000 0.6044 (multiplicity 1)
Mg 0.5068 0.5000 0.2732 (multiplicity 1)
Mg 0.5406 0.0000 0.9202 (multiplicity 1)
Mg 0.5966 0.0000 0.4358 (multiplicity 1)
Mg 0.6805 0.5000 0.5926 (multiplicity 1)
Mg 0.8064 0.0000 0.7491 (multiplicity 1)
Mg 0.9281 0.5000 0.4235 (multiplicity 1)
Si 0.1181 0.5000 0.8717 (multiplicity 1)
Si 0.2391 0.0000 0.7922 (multiplicity 1)
Si 0.2763 0.0000 0.1676 (multiplicity 1)
Si 0.3522 0.5000 0.4612 (multiplicity 1)
Si 0.5073 0.5000 0.7559 (multiplicity 1)
Si 0.6156 0.0000 0.1337 (multiplicity 1)
Si 0.7116 0.5000 0.0486 (multiplicity 1)
Si 0.7826 0.5000 0.8840 (multiplicity 1)
Si 0.8080 0.0000 0.2894 (multiplicity 1)
Si 0.9220 0.0000 0.5631 (multiplicity 1)



(2)
The following is a calculated powder diffraction line list of Ca2AlSi4O12. It was derived from a crystal structure in the Materials Project, relaxed with GGA-PBE, using Cu Kα, 1.54184 Å.

Top 6 peaks for 2θ = 10–80°, sorted by position:
d = 3.521 Å, 2θ = 25.29°, intensity 88.6, (1 1 1)
d = 3.343 Å, 2θ = 26.67°, intensity 100.0, (4 1 0)
d = 3.102 Å, 2θ = 28.78°, intensity 58.9, (3 1 1)
d = 2.837 Å, 2θ = 31.54°, intensity 39.3, (4 1 1)
d = 2.578 Å, 2θ = 34.79°, intensity 82.3, (5 1 1)
d = 1.793 Å, 2θ = 50.93°, intensity 48.2, (0 2 2)

Cell and atoms:
a b c (Å): 18.5412 4.8181 5.3716
angles (deg): 90.00 90.00 90.00
Space group Pmna (No. 53)
Inequivalent atoms, fractional coordinates:
Ca 0.0940 0.0000 0.0000 (multiplicity 4)
Al 0.0000 0.0000 0.5000 (multiplicity 2)
Si 0.1191 0.5000 0.5000 (multiplicity 4)
Si 0.2500 0.1905 0.2500 (multiplicity 4)
O 0.0000 0.1789 0.1964 (multiplicity 4)
O 0.0781 0.2464 0.6296 (multiplicity 8)
O 0.1763 0.3666 0.2815 (multiplicity 8)
O 0.2337 0.0000 0.0000 (multiplicity 4)



(3)
The following is a calculated powder diffraction line list of ScPt3C. It was derived from a crystal structure in the Materials Project, relaxed with GGA-PBE, using Cu Kα, 1.54184 Å.

Top 6 peaks for 2θ = 10–80°, sorted by position:
d = 4.247 Å, 2θ = 20.92°, intensity 20.5, (1 0 0)
d = 3.003 Å, 2θ = 29.75°, intensity 12.6, (1 1 0)
d = 2.452 Å, 2θ = 36.65°, intensity 100.0, (1 1 1)
d = 2.124 Å, 2θ = 42.57°, intensity 52.9, (2 0 0)
d = 1.502 Å, 2θ = 61.78°, intensity 35.2, (2 2 0)
d = 1.281 Å, 2θ = 74.03°, intensity 39.5, (3 1 1)

Cell and atoms:
a b c (Å): 4.2470 4.2470 4.2470
angles (deg): 90.00 90.00 90.00
Space group Pm-3m (No. 221)
Inequivalent atoms, fractional coordinates:
Sc 0.0000 0.0000 0.0000 (multiplicity 1)
Pt 0.0000 0.5000 0.5000 (multiplicity 3)
C 0.5000 0.5000 0.5000 (multiplicity 1)



(4)
The following is a calculated powder diffraction line list of Y2Fe3Si5. It was derived from a crystal structure in the Materials Project, relaxed with GGA-PBE, using Cu Kα, 1.54184 Å.

Top 6 peaks for 2θ = 10–80°, sorted by position:
d = 2.813 Å, 2θ = 31.81°, intensity 100.0, (3 1 1)
d = 2.513 Å, 2θ = 35.74°, intensity 39.7, (4 1 0)
d = 2.360 Å, 2θ = 38.12°, intensity 39.4, (2 1 2)
d = 2.316 Å, 2θ = 38.88°, intensity 42.3, (4 2 0)
d = 2.284 Å, 2θ = 39.45°, intensity 81.7, (4 1 1)
d = 2.196 Å, 2θ = 41.11°, intensity 92.5, (2 2 2)

Cell and atoms:
a b c (Å): 10.3595 10.3595 5.4865
angles (deg): 90.00 90.00 90.00
Space group P4/mnc (No. 128)
Inequivalent atoms, fractional coordinates:
Y 0.0698 0.2364 0.0000 (multiplicity 8)
Fe 0.0000 0.5000 0.2500 (multiplicity 4)
Fe 0.1228 0.8545 0.5000 (multiplicity 8)
Si 0.0000 0.0000 0.2698 (multiplicity 4)
Si 0.0217 0.3202 0.5000 (multiplicity 8)
Si 0.1770 0.6770 0.2500 (multiplicity 8)